[1]
Structure and simulated X-ray diffraction stick pattern of CaB2H8 (a structure optimized by DFT (GGA-PBE); Cu Kα X-rays).
Kinematic intensities with the Lorentz-polarization factor, no thermal factor.

Atomic structure:
Unit cell a=6.8060 b=6.8060 c=4.3613 alpha=90.00 beta=90.00 gamma=90.00
Fractional positions:
Ca1 0.0000 0.5000 0.0000
Ca2 0.5000 0.0000 0.5000
B1 0.1883 0.7136 0.5061
B2 0.2864 0.1883 0.0061
B3 0.7136 0.8117 0.0061
B4 0.8117 0.2864 0.5061
H1 0.0145 0.6664 0.5069
H2 0.1083 0.1816 0.0392
H3 0.1816 0.8917 0.5392
H4 0.2670 0.6692 0.2631
H5 0.2800 0.6342 0.7141
H6 0.3308 0.2670 0.7631
H7 0.3336 0.0145 0.0069
H8 0.3658 0.2800 0.2141
H9 0.6342 0.7200 0.2141
H10 0.6664 0.9855 0.0069
H11 0.6692 0.7330 0.7631
H12 0.7200 0.3658 0.7141
H13 0.7330 0.3308 0.2631
H14 0.8184 0.1083 0.5392
H15 0.8917 0.8184 0.0392
H16 0.9855 0.3336 0.5069

Top 10 peaks for 5 to 70 degrees two-theta, by angle:
d_spacing	Rel. int.
4.813	1000
3.672	613
3.403	116
3.232	130
2.496	729
2.406	212
2.152	176
2.013	258
1.986	163
1.732	125

[2]
Structure and simulated X-ray diffraction stick pattern of CaB2H8 (a structure optimized by DFT (GGA-PBE); Cu Kα X-rays).
Kinematic intensities with the Lorentz-polarization factor, no thermal factor.

Atomic structure:
Unit cell a=7.7926 b=7.7926 c=7.7926 alpha=135.18 beta=135.18 gamma=65.25
Fractional positions:
Ca1 0.0000 0.0000 0.0000
Ca2 0.7500 0.2500 0.5000
B1 0.2198 0.2198 0.0000
B2 0.5302 0.0302 0.5000
B3 0.7802 0.7802 0.0000
B4 0.9698 0.4698 0.5000
H1 0.0592 0.3220 0.5458
H2 0.0720 0.3092 0.0458
H3 0.1289 0.6546 0.7330
H4 0.1458 0.1716 0.7670
H5 0.2634 0.0263 0.9542
H6 0.3454 0.0784 0.4742
H7 0.4046 0.3789 0.2330
H8 0.4866 0.9408 0.2629
H9 0.6042 0.8711 0.5258
H10 0.6211 0.8542 0.0258
H11 0.6780 0.2237 0.7371
H12 0.6908 0.7366 0.7629
H13 0.7763 0.5134 0.4542
H14 0.8284 0.5954 0.9742
H15 0.9216 0.3958 0.2670
H16 0.9737 0.9280 0.2371

Top 10 peaks for 5 to 70 degrees two-theta, by angle:
d_spacing	Rel. int.
5.413	1000
3.538	121
3.523	133
3.281	200
2.971	337
2.604	262
2.401	147
2.202	213
2.101	103
1.868	120